No. 1
Calculated powder diffractogram of MnRu2Se for copper Kα, from a DFT-relaxed cell (GGA-PBE, Alexandria).
Intensities are scaled so that the largest is 1000.

Structural model:
abc: 4.3907 4.3907 4.8440
angles: 99.57 99.57 39.23
Positions (direct):
Mn  0.0000  0.0000  0.0000
Ru  0.2553  0.2553  0.7551
Ru  0.7447  0.7447  0.2449
Se  0.5000  0.5000  0.5000

Most intense lines, 2θ = 5–70°, by angle:
d [Å]  Position (°2θ)  I (rel.)
4.071  21.8  92
2.462  36.5  50
2.384  37.7  23
2.336  38.5  1000
2.237  40.3  440
2.035  44.5  326
1.933  47.0  558
1.915  47.5  269
1.474  63.1  113
1.416  66.0  195



No. 2
Calculated powder diffractogram of BaAc2LaHg4 for copper Kα, from a DFT-relaxed cell (GGA-PBE, Alexandria).
Intensities are scaled so that the largest is 1000.

Structural model:
abc: 9.9397 9.9397 9.9397
angles: 33.41 33.41 33.41
Positions (direct):
Ba  0.0000  0.0000  0.0000
Ac  0.2495  0.2495  0.2495
Ac  0.7505  0.7505  0.7505
La  0.5000  0.5000  0.5000
Hg  0.1287  0.1287  0.1287
Hg  0.3802  0.3802  0.3802
Hg  0.6198  0.6198  0.6198
Hg  0.8713  0.8713  0.8713

Most intense lines, 2θ = 5–70°, by angle:
d [Å]  Position (°2θ)  I (rel.)
4.674  19.0  55
2.866  31.2  981
2.857  31.3  1000
2.441  36.8  27
2.023  44.8  369
1.657  55.5  182
1.651  55.7  592
1.568  58.9  11
1.433  65.1  113
1.428  65.3  125



No. 3
Calculated powder diffractogram of MnNi2Ir2 for copper Kα, from a DFT-relaxed cell (GGA-PBE, Alexandria).
Intensities are scaled so that the largest is 1000.

Structural model:
abc: 6.8153 6.8153 6.8153
angles: 143.81 134.00 59.89
Positions (direct):
Mn  0.3605  0.1105  0.2500
Mn  0.6395  0.8895  0.7500
Ni  0.1301  0.8801  0.2500
Ni  0.2478  0.4978  0.7500
Ni  0.7522  0.5022  0.2500
Ni  0.8699  0.1199  0.7500
Ir  0.1813  0.6822  0.4991
Ir  0.3169  0.3178  0.9991
Ir  0.6831  0.6822  0.0009
Ir  0.8187  0.3178  0.5009

Most intense lines, 2θ = 5–70°, by angle:
d [Å]  Position (°2θ)  I (rel.)
5.906  15.0  478
3.986  22.3  234
2.883  31.0  315
2.428  37.0  416
2.214  40.8  195
2.117  42.7  411
2.063  43.9  576
1.969  46.1  120
1.956  46.4  1000
1.596  57.8  228



No. 4
Calculated powder diffractogram of TaBi2Rh for copper Kα, from a DFT-relaxed cell (GGA-PBE, Alexandria).
Intensities are scaled so that the largest is 1000.

Structural model:
abc: 4.9272 4.9272 4.9272
angles: 60.00 60.00 60.00
Positions (direct):
Ta  0.0000  0.0000  0.0000
Bi  0.2500  0.2500  0.2500
Bi  0.7500  0.7500  0.7500
Rh  0.5000  0.5000  0.5000

Most intense lines, 2θ = 5–70°, by angle:
d [Å]  Position (°2θ)  I (rel.)
4.023  22.1  24
3.484  25.6  40
2.464  36.5  1000
2.101  43.1  14
2.012  45.1  14
1.742  52.5  179
1.599  57.7  6
1.558  59.3  19
1.422  65.6  369